The following is a theoretical X-ray powder pattern of K3Ho3MoO8. It was derived from a structure optimized by DFT (PBE+U), using copper Kα.
Kinematic intensities with the Lorentz-polarization factor, no thermal factor.

Main lines, in order of falling intensity (10° ≤ 2θ ≤ 80°):
| h k l | 2theta | intensity |
| --- | --- | --- |
| 0 0 1 | 14.08 | 100 |
| 2 2 -2 | 35.96 | 49 |
| 2 2 0 | 31.88 | 35 |
| 0 0 2 | 28.37 | 28 |
| 4 0 -4 | 49.56 | 24 |
| 4 0 0 | 36.14 | 24 |
| 2 2 -1 | 30.76 | 22 |
| 4 0 -2 | 31.99 | 17 |
| 6 2 -2 | 54.18 | 15 |
| 4 0 -3 | 38.85 | 13 |

Cell and atoms:
```
data_K3Ho3MoO8
_symmetry_space_group_name_H-M 'C 1 2/m 1'
_symmetry_Int_Tables_number 12
_symmetry_space_group_name_Hall '-C 2y'
_cell_length_a 11.710
_cell_length_b 6.803
_cell_length_c 7.411
_cell_angle_alpha 90.00
_cell_angle_beta 121.91
_cell_angle_gamma 90.00
loop_
_atom_site_label
_atom_site_type_symbol
_atom_site_fract_x
_atom_site_fract_y
_atom_site_fract_z
K1 K 0.000 0.000 0.000
K2 K 0.250 0.250 0.000
Ho1 Ho 0.000 0.500 0.500
Ho2 Ho 0.250 0.250 0.500
Mo1 Mo 0.000 0.000 0.500
O1 O 0.020 0.235 0.327
O2 O 0.211 0.000 0.673
O3 O 0.228 0.500 0.682
```